Record 1
Structure and computed X-ray powder pattern of Ac8Te4AsRh3 (a cell relaxed with PBE; Cu Kα X-rays).
No peak broadening, texture or thermal motion is included.

Most intense lines, 2θ = 10–90°, by angle:
d 3.694, rel. 14.3; d 3.252, rel. 100.0; d 2.358, rel. 34.0; d 2.244, rel. 38.7; d 1.847, rel. 20.3; d 1.709, rel. 7.7; d 1.626, rel. 10.8; d 1.484, rel. 10.9; d 1.426, rel. 17.3; d 1.317, rel. 10.6

Structure:
Cell lengths 8.9776, 8.9776, 23.7324 Å; angles 90.00, 90.00, 120.00 degrees
Space group R-3m (No. 166, hexagonal axes)
Asymmetric unit:
Ac  0.0000  0.0000  0.2381 (multiplicity 6)
Ac  0.0103  0.5051  0.7629 (multiplicity 18)
Te  0.0000  0.0000  0.0000 (multiplicity 3)
Te  0.0000  0.5000  0.0000 (multiplicity 9)
As  0.0000  0.0000  0.5000 (multiplicity 3)
Rh  0.0000  0.5000  0.5000 (multiplicity 9)

Record 2
Structure and computed X-ray powder pattern of Ca2ErB2Rh5 (a cell relaxed with PBE; Cu Kα X-rays).
No peak broadening, texture or thermal motion is included.

Most intense lines, 2θ = 10–90°, by angle:
d 5.027, rel. 32.7; d 2.831, rel. 30.0; d 2.545, rel. 39.5; d 2.514, rel. 39.4; d 2.439, rel. 49.4; d 2.331, rel. 53.5; d 2.248, rel. 74.2; d 2.215, rel. 100.0; d 2.069, rel. 29.4; d 1.291, rel. 30.2

Structure:
Cell lengths 10.054, 10.054, 3.087 Å; angles 90.00, 90.00, 90.00 degrees
Space group P4/mbm (No. 127)
Asymmetric unit:
Ca  0.178  0.322  0.000 (multiplicity 4)
Er  0.000  0.000  0.000 (multiplicity 2)
B  0.120  0.620  0.000 (multiplicity 4)
Rh  0.000  0.500  0.500 (multiplicity 2)
Rh  0.070  0.768  0.500 (multiplicity 8)

Record 3
Structure and computed X-ray powder pattern of Ac3NbAl2O9 (a cell relaxed with PBE; Cu Kα X-rays).
No peak broadening, texture or thermal motion is included.

Most intense lines, 2θ = 10–90°, by angle:
d 3.978, rel. 82.6; d 2.848, rel. 100.0; d 2.779, rel. 92.2; d 2.278, rel. 40.7; d 1.989, rel. 55.6; d 1.797, rel. 19.3; d 1.762, rel. 20.2; d 1.659, rel. 19.4; d 1.617, rel. 38.5; d 1.604, rel. 18.7

Structure:
Cell lengths 5.5577, 5.5577, 7.0670 Å; angles 90.00, 90.00, 120.00 degrees
Space group P-3m1 (No. 164)
Asymmetric unit:
Ac  0.0000  0.0000  0.0000 (multiplicity 1)
Ac  0.3333  0.6667  0.6809 (multiplicity 2)
Nb  0.0000  0.0000  0.5000 (multiplicity 1)
Al  0.3333  0.6667  0.1587 (multiplicity 2)
O  0.0000  0.5000  0.0000 (multiplicity 3)
O  0.1721  0.3443  0.3135 (multiplicity 6)

Record 4
Structure and computed X-ray powder pattern of Mn3Rh2 (a cell relaxed with PBE; Cu Kα X-rays).
No peak broadening, texture or thermal motion is included.

Most intense lines, 2θ = 10–90°, by angle:
d 5.206, rel. 10.4; d 3.471, rel. 9.3; d 2.132, rel. 100.0; d 2.082, rel. 30.0; d 1.835, rel. 61.0; d 1.309, rel. 19.1; d 1.286, rel. 16.9; d 1.116, rel. 11.4; d 1.108, rel. 21.7; d 1.094, rel. 9.9

Structure:
Cell lengths 2.6184, 2.6184, 31.2365 Å; angles 90.00, 90.00, 120.00 degrees
Space group R-3m (No. 166, hexagonal axes)
Asymmetric unit:
Mn  0.0000  0.0000  0.0000 (multiplicity 3)
Mn  0.0000  0.0000  0.1963 (multiplicity 6)
Rh  0.0000  0.0000  0.4002 (multiplicity 6)